Calculated powder X-ray diffraction pattern of VAgAu for Cu Kα (weighted mean of Kα1 and Kα2), from a cell relaxed with PBE.
Peak positions follow from Bragg's law for the DFT cell and can differ from measured ones.

Atomic structure:
Unit cell a=5.177 b=6.921 c=12.390 alpha=90.00 beta=90.00 gamma=90.00
Space group Fmmm (No. 69)
One atom of each set of equivalent atoms:
V  0.000  0.135  0.000 [8 per cell]
Ag  0.250  0.250  0.250 [8 per cell]
Au  0.000  0.000  0.392 [8 per cell]

Main lines, low angle first (10 to 90 degrees two-theta):
2θ/deg	d (Å)	I/Imax	hkl
22.62	3.931	100	1 1 1
29.57	3.021	41	0 2 2
30.55	2.926	49	1 1 3
37.66	2.388	41	2 0 2
39.03	2.308	78	0 2 4
42.50	2.127	70	1 1 5
43.57	2.077	49	1 3 1
43.67	2.073	59	2 2 0
45.68	1.986	33	2 0 4
72.44	1.305	32	2 4 4

Calculated powder X-ray diffraction pattern of Ta2Ti4Mo for Cu Kα (weighted mean of Kα1 and Kα2), from a cell relaxed with PBE.
Peak positions follow from Bragg's law for the DFT cell and can differ from measured ones.

Atomic structure:
Unit cell a=2.875 b=6.988 c=7.042 alpha=117.36 beta=99.09 gamma=97.78
Space group P-1 (No. 2)
One atom of each set of equivalent atoms:
Ta  0.051  0.281  0.427 [2 per cell]
Ti  0.283  0.856  0.274 [2 per cell]
Ti  0.402  0.410  0.138 [2 per cell]
Mo  0.500  0.000  0.000 [1 per cell]

Main lines, low angle first (10 to 90 degrees two-theta):
2θ/deg	d (Å)	I/Imax	hkl
14.63	6.056	62	0 0 1
14.78	5.992	100	0 1 -1
38.49	2.339	80	1 1 -2
38.67	2.328	79	1 -2 0
39.13	2.302	79	1 0 1
39.38	2.288	89	0 2 1
39.50	2.281	79	0 1 -3
39.81	2.264	77	0 3 -2
55.67	1.651	26	-1 1 3
71.29	1.323	25	0 1 4